Entry 1:
Starting from DFT lattice parameters and positions (GGA-PBE), the PXRD pattern of AlGaAg2O4 was calculated for copper Kα.
Neutral-atom scattering factors, no anomalous dispersion.

Cell and atoms:
a = 5.088 Å, b = 5.088 Å, c = 8.412 Å
α = 90.00°, β = 90.00°, γ = 90.00°
Space group I-4 (No. 82)
Inequivalent atoms, fractional coordinates:
Al 0.000 0.000 0.000 x2
Ga 0.000 0.500 0.250 x2
Ag 0.000 0.000 0.500 x2
Ag 0.000 0.500 0.750 x2
O 0.152 0.756 0.121 x8

Main lines, sorted by position (10 to 80 degrees two-theta):
hkl	2theta	I (rel.)
1 0 1	20.40	16
1 1 2	32.76	100
2 0 0	35.28	30
1 0 3	36.59	8
1 2 1	41.10	13
2 2 0	50.75	15
2 0 4	56.80	24
3 1 2	61.73	29
2 2 4	68.66	9
1 1 6	72.33	9

Entry 2:
Starting from DFT lattice parameters and positions (GGA-PBE), the PXRD pattern of KBr was calculated for copper Kα.
Neutral-atom scattering factors, no anomalous dispersion.

Cell and atoms:
a = 4.266 Å, b = 14.200 Å, c = 8.047 Å
α = 90.00°, β = 90.00°, γ = 90.00°
Space group Imm2 (No. 44)
Inequivalent atoms, fractional coordinates:
K 0.000 0.000 0.000 x2
K 0.000 0.150 0.508 x4
Br 0.000 0.347 0.317 x4
Br 0.000 0.500 0.825 x2

Main lines, sorted by position (10 to 80 degrees two-theta):
hkl	2theta	I (rel.)
0 3 1	21.78	100
0 0 2	22.09	29
1 2 1	26.78	66
1 1 2	31.20	84
1 4 1	34.71	75
0 6 0	38.02	23
0 3 3	38.58	48
2 3 1	48.14	20
1 7 2	55.08	28
2 3 3	58.63	26

Entry 3:
Starting from DFT lattice parameters and positions (GGA-PBE), the PXRD pattern of Li4Ac3Au4 was calculated for copper Kα.
Neutral-atom scattering factors, no anomalous dispersion.

Cell and atoms:
a = 4.174 Å, b = 4.429 Å, c = 14.895 Å
α = 98.49°, β = 98.01°, γ = 90.00°
Space group P-1 (No. 2)
Inequivalent atoms, fractional coordinates:
Li 0.097 0.099 0.194 x2
Li 0.250 0.750 0.500 x2
Ac 0.353 0.351 0.706 x2
Ac 0.500 0.000 0.000 x1
Au 0.052 0.554 0.103 x2
Au 0.189 0.190 0.378 x2

Main lines, sorted by position (10 to 80 degrees two-theta):
hkl	2theta	I (rel.)
0 0 3	18.25	39
0 1 2	25.25	38
1 1 0	30.05	100
1 0 3	30.31	67
1 1 -3	31.92	50
0 1 -6	39.61	46
0 2 -1	40.74	28
1 0 6	45.92	25
1 2 2	51.61	32
2 1 -7	60.17	27

Entry 4:
Starting from DFT lattice parameters and positions (GGA-PBE), the PXRD pattern of TaSb3O8 was calculated for copper Kα.
Neutral-atom scattering factors, no anomalous dispersion.

Cell and atoms:
a = 4.957 Å, b = 5.590 Å, c = 12.934 Å
α = 90.00°, β = 112.43°, γ = 90.00°
Space group Pc (No. 7)
Inequivalent atoms, fractional coordinates:
Ta 0.000 0.114 0.000 x2
Sb 0.297 0.265 0.749 x2
Sb 0.493 0.386 0.497 x2
Sb 0.706 0.230 0.249 x2
O 0.157 0.165 0.439 x2
O 0.227 0.333 0.942 x2
O 0.316 0.070 0.151 x2
O 0.492 0.431 0.653 x2
O 0.503 0.408 0.339 x2
O 0.678 0.091 0.841 x2
O 0.777 0.123 0.551 x2
O 0.821 0.378 0.047 x2

Main lines, sorted by position (10 to 80 degrees two-theta):
hkl	2theta	I (rel.)
1 1 0	25.14	46
1 1 -3	28.32	100
0 0 4	29.89	32
0 2 1	32.93	22
2 0 -2	36.24	12
2 0 -6	47.66	18
2 2 -1	49.75	13
1 1 5	52.10	20
1 3 -1	52.46	13
1 3 -5	61.56	13

Entry 5:
Starting from DFT lattice parameters and positions (GGA-PBE), the PXRD pattern of Sc11Al9Co4 was calculated for copper Kα.
Neutral-atom scattering factors, no anomalous dispersion.

Cell and atoms:
a = 13.242 Å, b = 19.830 Å, c = 3.289 Å
α = 90.00°, β = 90.00°, γ = 90.00°
Space group Cmmm (No. 65)
Inequivalent atoms, fractional coordinates:
Sc 0.000 0.000 0.000 x2
Sc 0.000 0.161 0.000 x4
Sc 0.000 0.374 0.000 x4
Sc 0.190 0.500 0.000 x4
Sc 0.244 0.170 0.000 x8
Al 0.000 0.500 0.500 x2
Al 0.103 0.266 0.500 x8
Al 0.149 0.070 0.500 x8
Co 0.154 0.398 0.500 x8

Main lines, sorted by position (10 to 80 degrees two-theta):
hkl	2theta	I (rel.)
0 4 0	17.89	13
3 1 0	20.62	17
2 4 1	35.45	13
3 3 1	36.69	17
4 0 1	38.55	100
0 6 1	38.62	58
3 5 1	41.09	34
1 9 0	41.55	13
0 0 2	55.91	16
4 6 2	69.92	14

Entry 6:
Starting from DFT lattice parameters and positions (GGA-PBE), the PXRD pattern of Li12Zn2Ag was calculated for copper Kα.
Neutral-atom scattering factors, no anomalous dispersion.

Cell and atoms:
a = 2.776 Å, b = 4.965 Å, c = 19.036 Å
α = 90.00°, β = 90.00°, γ = 90.00°
Space group Pmmm (No. 47)
Inequivalent atoms, fractional coordinates:
Li 0.000 0.000 0.071 x2
Li 0.000 0.241 0.500 x2
Li 0.500 0.000 0.214 x2
Li 0.500 0.000 0.352 x2
Li 0.500 0.500 0.131 x2
Li 0.500 0.500 0.384 x2
Zn 0.000 0.500 0.261 x2
Ag 0.000 0.500 0.000 x1

Main lines, sorted by position (10 to 80 degrees two-theta):
hkl	2theta	I (rel.)
0 0 3	13.96	53
0 1 0	17.87	100
0 1 1	18.47	29
0 0 4	18.64	84
0 1 3	22.74	35
0 1 4	25.93	75
1 1 0	37.11	32
1 0 4	37.50	50
0 0 8	37.75	40
1 1 4	41.84	55

Entry 7:
Starting from DFT lattice parameters and positions (GGA-PBE), the PXRD pattern of Tb3Y7 was calculated for copper Kα.
Neutral-atom scattering factors, no anomalous dispersion.

Cell and atoms:
a = 18.168 Å, b = 5.462 Å, c = 7.069 Å
α = 90.00°, β = 112.83°, γ = 90.00°
Space group C2/m (No. 12)
Inequivalent atoms, fractional coordinates:
Tb 0.000 0.000 0.000 x2
Tb 0.199 0.000 0.700 x4
Y 0.000 0.000 0.500 x2
Y 0.109 0.500 0.360 x4
Y 0.109 0.500 0.859 x4
Y 0.200 0.000 0.201 x4

Main lines, sorted by position (10 to 80 degrees two-theta):
hkl	2theta	I (rel.)
3 1 -2	30.60	83
5 1 0	31.33	100
0 2 0	32.79	45
2 0 2	33.17	38
8 0 -2	41.22	16
2 2 2	47.34	28
5 3 0	57.62	17
7 1 2	58.56	15
1 1 4	61.70	17
9 1 -4	61.76	16

Entry 8:
Starting from DFT lattice parameters and positions (GGA-PBE), the PXRD pattern of LiCo2H was calculated for copper Kα.
Neutral-atom scattering factors, no anomalous dispersion.

Cell and atoms:
a = 5.075 Å, b = 5.075 Å, c = 7.119 Å
α = 90.00°, β = 90.00°, γ = 90.00°
Space group I4_1/amd (No. 141, origin choice 2)
Inequivalent atoms, fractional coordinates:
Li 0.000 0.250 0.375 x4
Co 0.000 0.000 0.000 x8
H 0.000 0.250 0.875 x4

Main lines, sorted by position (10 to 80 degrees two-theta):
hkl	2theta	I (rel.)
1 0 1	21.50	100
2 1 1	41.77	40
1 0 3	42.03	19
2 0 2	43.81	63
2 2 0	50.89	18
0 0 4	51.34	9
3 0 1	55.86	6
2 1 3	56.07	13
3 2 1	67.88	8
2 2 4	75.19	12

Entry 9:
Starting from DFT lattice parameters and positions (GGA-PBE), the PXRD pattern of Na2SrInSn2 was calculated for copper Kα.
Neutral-atom scattering factors, no anomalous dispersion.

Cell and atoms:
a = 4.849 Å, b = 9.346 Å, c = 8.154 Å
α = 90.00°, β = 90.00°, γ = 90.00°
Space group Pmc2_1 (No. 26)
Inequivalent atoms, fractional coordinates:
Na 0.000 0.076 0.000 x2
Na 0.500 0.170 0.317 x2
Sr 0.500 0.441 0.960 x2
In 0.000 0.319 0.621 x2
Sn 0.000 0.374 0.249 x2
Sn 0.500 0.148 0.704 x2

Main lines, sorted by position (10 to 80 degrees two-theta):
hkl	2theta	I (rel.)
0 1 1	14.42	37
0 2 1	21.92	27
1 1 1	23.37	31
1 2 1	28.68	63
1 1 2	30.19	100
1 3 0	34.21	69
0 1 3	34.36	26
2 0 0	37.08	47
0 2 3	38.31	36
1 1 3	39.20	28

Entry 10:
Starting from DFT lattice parameters and positions (GGA-PBE), the PXRD pattern of Dy10Ga3Te3 was calculated for copper Kα.
Neutral-atom scattering factors, no anomalous dispersion.

Cell and atoms:
a = 8.8056 Å, b = 8.8056 Å, c = 6.3491 Å
α = 90.00°, β = 90.00°, γ = 120.00°
Space group P-62m (No. 189)
Inequivalent atoms, fractional coordinates:
Dy 0.0000 0.2423 0.0000 x3
Dy 0.0000 0.7599 0.5000 x3
Dy 0.3333 0.6667 0.2576 x4
Ga 0.0000 0.3909 0.5000 x3
Te 0.0000 0.6075 0.0000 x3

Main lines, sorted by position (10 to 80 degrees two-theta):
hkl	2theta	I (rel.)
0 0 2	28.11	14
1 0 2	30.50	26
2 1 0	31.03	38
2 1 1	34.16	100
1 1 2	34.84	80
3 0 0	35.31	41
2 2 2	50.45	22
2 1 3	53.73	28
4 0 2	56.29	17
5 0 2	68.22	15

Entry 11:
Starting from DFT lattice parameters and positions (GGA-PBE), the PXRD pattern of SrBeCl4 was calculated for copper Kα.
Neutral-atom scattering factors, no anomalous dispersion.

Cell and atoms:
a = 6.035 Å, b = 8.958 Å, c = 6.236 Å
α = 90.00°, β = 107.87°, γ = 90.00°
Space group P2_1/m (No. 11)
Inequivalent atoms, fractional coordinates:
Sr 0.100 0.250 0.163 x2
Be 0.174 0.750 0.387 x2
Cl 0.173 0.250 0.658 x2
Cl 0.243 0.571 0.214 x4
Cl 0.352 0.750 0.716 x2

Main lines, sorted by position (10 to 80 degrees two-theta):
hkl	2theta	I (rel.)
1 0 0	15.43	58
1 0 -1	17.90	100
0 2 0	19.82	95
0 0 2	30.12	75
0 1 2	31.79	61
2 1 0	32.75	69
0 3 1	33.60	68
1 3 0	33.83	45
2 0 -2	36.29	74
1 3 -2	42.40	45

Entry 12:
Starting from DFT lattice parameters and positions (GGA-PBE), the PXRD pattern of Na3Tb3SnO8 was calculated for copper Kα.
Neutral-atom scattering factors, no anomalous dispersion.

Cell and atoms:
a = 6.8155 Å, b = 6.8155 Å, c = 16.7811 Å
α = 90.00°, β = 90.00°, γ = 120.00°
Space group R-3m (No. 166, hexagonal axes)
Inequivalent atoms, fractional coordinates:
Na 0.0000 0.5000 0.0000 x9
Tb 0.0000 0.5000 0.5000 x9
Sn 0.0000 0.0000 0.5000 x3
O 0.0000 0.0000 0.2353 x6
O 0.0256 0.5128 0.2339 x18

Main lines, sorted by position (10 to 80 degrees two-theta):
hkl	2theta	I (rel.)
0 0 3	15.84	100
0 2 1	30.76	49
2 0 2	32.15	49
0 2 4	37.25	72
2 0 5	40.71	19
0 2 7	48.95	19
2 0 8	53.60	22
2 2 0	53.80	24
2 2 3	56.46	22
2 2 6	64.01	24